1.
This entry pairs a crystal structure of PmSn4Pd2Rh with its calculated XRD peak list. Radiation: Cu Ka. Structure: the GGA-PBE geometry in Alexandria.
No peak broadening, texture or thermal motion is included.

Top 10 peaks for 10 to 90 degrees two-theta, low angle first:
2θ 27.60, intensity 12; 2θ 34.29, intensity 100; 2θ 39.28, intensity 99; 2θ 42.40, intensity 19; 2θ 53.11, intensity 29; 2θ 68.02, intensity 28; 2θ 68.33, intensity 9; 2θ 71.21, intensity 18; 2θ 73.35, intensity 8; 2θ 84.49, intensity 12

Atomic structure:
a b c (Å): 9.636 9.636 9.636
angles (deg): 27.54 27.54 27.54
Atoms (fractional coordinates):
Pm1 0.000 0.000 0.000
Sn1 0.130 0.130 0.130
Sn2 0.396 0.396 0.396
Sn3 0.604 0.604 0.604
Sn4 0.870 0.870 0.870
Pd1 0.240 0.240 0.240
Pd2 0.760 0.760 0.760
Rh1 0.500 0.500 0.500

***

2.
This entry pairs a crystal structure of Pm7Pd2Ru2 with its calculated XRD peak list. Radiation: Cu Ka. Structure: the GGA-PBE geometry in Alexandria.
No peak broadening, texture or thermal motion is included.

Top 10 peaks for 10 to 90 degrees two-theta, low angle first:
2θ 25.69, intensity 38; 2θ 27.58, intensity 53; 2θ 29.05, intensity 42; 2θ 30.29, intensity 18; 2θ 32.47, intensity 63; 2θ 37.25, intensity 44; 2θ 37.91, intensity 100; 2θ 45.42, intensity 20; 2θ 52.39, intensity 18; 2θ 63.01, intensity 17

Atomic structure:
a b c (Å): 6.808 6.808 6.985
angles (deg): 90.00 90.00 108.17
Atoms (fractional coordinates):
Pm1 0.000 0.000 0.000
Pm2 0.000 0.500 0.265
Pm3 0.000 0.500 0.735
Pm4 0.500 0.000 0.265
Pm5 0.500 0.000 0.735
Pm6 0.500 0.500 0.254
Pm7 0.500 0.500 0.746
Pd1 0.183 0.183 0.500
Pd2 0.817 0.817 0.500
Ru1 0.293 0.707 0.000
Ru2 0.707 0.293 0.000